[1]
Structure and computed powder X-ray diffraction pattern of CsCu2Bi2Te6 (a PBE-relaxed structure; copper Kα).
Lines closer than 0.1° are merged.

Top 10 peaks for 2θ from 15° to 90°, low angle first:
| hkl | d (Å) | two_theta | I_rel |
| --- | --- | --- | --- |
| 1 0 2 | 3.927 | 22.64 | 86.2 |
| -1 1 1 | 3.681 | 24.18 | 64.4 |
| 0 2 1 | 3.605 | 24.70 | 72.1 |
| 2 1 0 | 3.362 | 26.51 | 100.0 |
| 1 -1 2 | 3.080 | 28.99 | 57.1 |
| 1 -2 1 | 2.805 | 31.90 | 47.9 |
| 2 2 0 | 2.788 | 32.11 | 94.3 |
| 2 1 3 | 2.666 | 33.61 | 44.0 |
| 3 1 2 | 2.555 | 35.12 | 73.6 |
| 1 3 2 | 2.480 | 36.22 | 46.1 |

Structural model:
```
data_CsCu2Bi2Te6
_symmetry_space_group_name_H-M 'P -1'
_symmetry_Int_Tables_number 2
_symmetry_space_group_name_Hall '-P 1'
_cell_length_a 7.814
_cell_length_b 7.902
_cell_length_c 8.340
_cell_angle_alpha 72.27
_cell_angle_beta 63.41
_cell_angle_gamma 72.85
loop_
_atom_site_label
_atom_site_fract_x
_atom_site_fract_y
_atom_site_fract_z
Cs1 0.000 0.000 0.000
Cu1 0.348 0.405 0.630
Bi1 0.384 0.352 0.268
Te1 0.136 0.649 0.476
Te2 0.254 0.501 0.937
Te3 0.409 0.888 0.435
```

[2]
Structure and computed powder X-ray diffraction pattern of Cs3DyBi2O8 (a PBE-relaxed structure; copper Kα).
Lines closer than 0.1° are merged.

Top 10 peaks for 2θ from 15° to 90°, low angle first:
| hkl | d (Å) | two_theta | I_rel |
| --- | --- | --- | --- |
| 1 0 1 | 4.695 | 18.90 | 15.1 |
| 0 1 2 | 3.403 | 26.19 | 82.4 |
| 1 1 0 | 3.242 | 27.51 | 100.0 |
| 2 0 2 | 2.347 | 38.35 | 36.0 |
| 1 2 2 | 1.901 | 47.84 | 33.0 |
| 3 0 0 | 1.872 | 48.64 | 21.1 |
| 1 1 4 | 1.785 | 51.16 | 25.6 |
| 2 2 0 | 1.621 | 56.79 | 16.6 |
| 3 1 2 | 1.463 | 63.58 | 14.3 |
| 0 3 4 | 1.409 | 66.36 | 13.7 |

Structural model:
```
data_Cs3DyBi2O8
_symmetry_space_group_name_H-M 'P -3 m 1'
_symmetry_Int_Tables_number 164
_symmetry_space_group_name_Hall '-P 3 2"'
_cell_length_a 6.4842
_cell_length_b 6.4842
_cell_length_c 8.5560
_cell_angle_alpha 90.00
_cell_angle_beta 90.00
_cell_angle_gamma 120.00
loop_
_atom_site_label
_atom_site_fract_x
_atom_site_fract_y
_atom_site_fract_z
Cs1 0.0000 0.0000 0.0000
Cs2 0.3333 0.6667 0.6971
Dy1 0.0000 0.0000 0.5000
Bi1 0.3333 0.6667 0.2557
O1 0.1631 0.3263 0.3424
O2 0.3333 0.6667 0.0225
```

[3]
Structure and computed powder X-ray diffraction pattern of Cs3ErBi2S6 (a PBE-relaxed structure; copper Kα).
Lines closer than 0.1° are merged.

Top 10 peaks for 2θ from 15° to 90°, low angle first:
| hkl | d (Å) | two_theta | I_rel |
| --- | --- | --- | --- |
| 0 0 2 | 4.023 | 22.10 | 32.6 |
| 2 0 0 | 3.471 | 25.66 | 59.6 |
| 1 3 1 | 3.107 | 28.73 | 100.0 |
| 2 0 2 | 2.319 | 38.84 | 38.5 |
| 0 6 0 | 2.092 | 43.24 | 33.8 |
| 0 0 4 | 2.010 | 45.11 | 26.1 |
| 3 3 1 | 1.856 | 49.07 | 24.9 |
| 4 0 0 | 1.736 | 52.74 | 17.9 |
| 3 3 3 | 1.450 | 64.25 | 21.5 |
| 5 3 -3 | 1.336 | 70.50 | 15.1 |

Structural model:
```
data_Cs3ErBi2S6
_symmetry_space_group_name_H-M 'C 1 2/m 1'
_symmetry_Int_Tables_number 12
_symmetry_space_group_name_Hall '-C 2y'
_cell_length_a 7.249
_cell_length_b 12.554
_cell_length_c 8.401
_cell_angle_alpha 90.00
_cell_angle_beta 106.70
_cell_angle_gamma 90.00
loop_
_atom_site_label
_atom_site_fract_x
_atom_site_fract_y
_atom_site_fract_z
Cs1 0.000 0.000 0.000
Cs2 0.000 0.330 0.000
Er1 0.000 0.500 0.500
Bi1 0.000 0.166 0.500
S1 0.223 0.339 0.685
S2 0.240 0.000 0.686
```

[4]
Structure and computed powder X-ray diffraction pattern of CsBi2F9 (a PBE-relaxed structure; copper Kα).
Lines closer than 0.1° are merged.

Top 10 peaks for 2θ from 15° to 90°, low angle first:
| hkl | d (Å) | two_theta | I_rel |
| --- | --- | --- | --- |
| 1 1 0 | 3.883 | 22.90 | 100.0 |
| 0 0 1 | 3.569 | 24.95 | 23.1 |
| 1 1 1 | 2.628 | 34.12 | 75.0 |
| 3 0 0 | 2.242 | 40.22 | 19.0 |
| 2 2 0 | 1.942 | 46.79 | 20.6 |
| 3 0 1 | 1.899 | 47.92 | 35.7 |
| 2 2 1 | 1.706 | 53.74 | 26.7 |
| 1 1 2 | 1.621 | 56.78 | 17.9 |
| 4 1 0 | 1.468 | 63.37 | 13.1 |
| 4 1 1 | 1.357 | 69.21 | 20.3 |

Structural model:
```
data_CsBi2F9
_symmetry_space_group_name_H-M 'P 6/m m m'
_symmetry_Int_Tables_number 191
_symmetry_space_group_name_Hall '-P 6 2'
_cell_length_a 7.7667
_cell_length_b 7.7667
_cell_length_c 3.5690
_cell_angle_alpha 90.00
_cell_angle_beta 90.00
_cell_angle_gamma 120.00
loop_
_atom_site_label
_atom_site_fract_x
_atom_site_fract_y
_atom_site_fract_z
Cs1 0.0000 0.0000 0.0000
Bi1 0.3333 0.6667 0.0000
F1 0.0000 0.5000 0.0000
F2 0.2209 0.4419 0.5000
```

[5]
Structure and computed powder X-ray diffraction pattern of Cs2BiF6 (a PBE-relaxed structure; copper Kα).
Lines closer than 0.1° are merged.

Top 10 peaks for 2θ from 15° to 90°, low angle first:
| hkl | d (Å) | two_theta | I_rel |
| --- | --- | --- | --- |
| 0 1 1 | 5.669 | 15.63 | 31.9 |
| 0 2 0 | 4.289 | 20.71 | 80.0 |
| 1 0 -2 | 4.237 | 20.97 | 98.4 |
| 1 1 1 | 3.549 | 25.09 | 100.0 |
| 2 1 -1 | 3.182 | 28.04 | 93.0 |
| 1 2 -2 | 3.014 | 29.64 | 44.1 |
| 1 3 0 | 2.584 | 34.72 | 27.0 |
| 0 1 3 | 2.416 | 37.22 | 52.4 |
| 2 3 -1 | 2.195 | 41.12 | 25.6 |
| 3 1 -3 | 2.087 | 43.36 | 20.7 |

Structural model:
```
data_Cs2BiF6
_symmetry_space_group_name_H-M 'P 1 21/c 1'
_symmetry_Int_Tables_number 14
_symmetry_space_group_name_Hall '-P 2ybc'
_cell_length_a 6.878
_cell_length_b 8.579
_cell_length_c 8.593
_cell_angle_alpha 90.00
_cell_angle_beta 118.49
_cell_angle_gamma 90.00
loop_
_atom_site_label
_atom_site_fract_x
_atom_site_fract_y
_atom_site_fract_z
Cs1 0.181 0.055 0.318
Bi1 0.500 0.000 0.000
F1 0.207 0.121 0.975
F2 0.311 0.715 0.437
F3 0.382 0.038 0.720
```

[6]
Structure and computed powder X-ray diffraction pattern of CsBiF6 (a PBE-relaxed structure; copper Kα).
Lines closer than 0.1° are merged.

Top 10 peaks for 2θ from 15° to 90°, low angle first:
| hkl | d (Å) | two_theta | I_rel |
| --- | --- | --- | --- |
| 1 0 1 | 4.935 | 17.98 | 15.4 |
| 0 1 2 | 4.389 | 20.23 | 100.0 |
| 1 0 4 | 3.240 | 27.53 | 58.6 |
| 1 1 0 | 2.983 | 29.95 | 31.6 |
| 2 0 2 | 2.467 | 36.41 | 31.1 |
| 1 1 6 | 2.031 | 44.62 | 33.4 |
| 0 1 8 | 1.929 | 47.11 | 11.3 |
| 1 2 2 | 1.901 | 47.84 | 19.7 |
| 2 1 4 | 1.768 | 51.71 | 21.7 |
| 3 0 6 | 1.463 | 63.60 | 11.6 |

Structural model:
```
data_CsBiF6
_symmetry_space_group_name_H-M 'R -3 m'
_symmetry_Int_Tables_number 166
_symmetry_space_group_name_Hall '-R 3 2"'
_cell_length_a 5.9666
_cell_length_b 5.9666
_cell_length_c 16.6336
_cell_angle_alpha 90.00
_cell_angle_beta 90.00
_cell_angle_gamma 120.00
loop_
_atom_site_label
_atom_site_fract_x
_atom_site_fract_y
_atom_site_fract_z
Cs1 0.0000 0.0000 0.0000
Bi1 0.0000 0.0000 0.5000
F1 0.0118 0.5059 0.0947
```

[7]
Structure and computed powder X-ray diffraction pattern of CsBiF (a PBE-relaxed structure; copper Kα).
Lines closer than 0.1° are merged.

Top 10 peaks for 2θ from 15° to 90°, low angle first:
| hkl | d (Å) | two_theta | I_rel |
| --- | --- | --- | --- |
| 0 0 4 | 5.396 | 16.43 | 70.3 |
| 0 0 6 | 3.598 | 24.75 | 68.9 |
| 1 0 1 | 3.569 | 24.95 | 34.8 |
| 1 0 3 | 3.233 | 27.59 | 100.0 |
| 0 2 2 | 2.775 | 32.26 | 75.8 |
| 0 2 4 | 2.535 | 35.41 | 24.5 |
| 1 0 7 | 2.347 | 38.35 | 24.4 |
| 1 2 1 | 2.237 | 40.32 | 48.4 |
| 1 2 5 | 1.995 | 45.47 | 50.7 |
| 0 2 8 | 1.966 | 46.17 | 32.5 |

Structural model:
```
data_CsBiF
_symmetry_space_group_name_H-M 'I m m m'
_symmetry_Int_Tables_number 71
_symmetry_space_group_name_Hall '-I 2 2'
_cell_length_a 3.618
_cell_length_b 5.742
_cell_length_c 21.586
_cell_angle_alpha 90.00
_cell_angle_beta 90.00
_cell_angle_gamma 90.00
loop_
_atom_site_label
_atom_site_fract_x
_atom_site_fract_y
_atom_site_fract_z
Cs1 0.000 0.000 0.185
Bi1 0.000 0.253 0.500
F1 0.000 0.000 0.309
```